Theoretical X-ray diffraction stick pattern of B3Rh4 for Cu Kα (weighted mean of Kα1 and Kα2), from a PBE-relaxed structure.

Principal peaks in the range 2θ from 5° to 70°, in order of rising 2θ:
- 2.709 Å, I = 31
- 2.458 Å, I = 38
- 2.372 Å, I = 100
- 2.215 Å, I = 56
- 1.820 Å, I = 27
- 1.402 Å, I = 18

Crystal structure
Cell lengths 11.009, 3.233, 4.964 Å; angles 90.00, 116.75, 90.00 degrees
Space group C2/m (No. 12)
Asymmetric unit:
B: 0.000 0.000 0.000 x2
B: 0.242 0.500 0.755 x4
Rh: 0.124 0.000 0.771 x4
Rh: 0.127 0.500 0.280 x4

=====

Theoretical X-ray diffraction stick pattern of K4NaHg2 for Cu Kα (weighted mean of Kα1 and Kα2), from a PBE-relaxed structure.

Principal peaks in the range 2θ from 5° to 70°, in order of rising 2θ:
- 9.424 Å, I = 66
- 5.454 Å, I = 36
- 4.119 Å, I = 53
- 3.148 Å, I = 100
- 3.101 Å, I = 79
- 1.809 Å, I = 33

Crystal structure
Cell lengths 6.299, 10.907, 18.848 Å; angles 90.00, 90.00, 90.00 degrees
Space group Cmcm (No. 63)
Asymmetric unit:
K: 0.000 0.000 0.000 x4
K: 0.000 0.333 0.123 x8
K: 0.000 0.334 0.750 x4
Na: 0.000 0.000 0.250 x4
Hg: 0.000 0.334 0.564 x8

=====

Theoretical X-ray diffraction stick pattern of Er3Tl4SbSe8 for Cu Kα (weighted mean of Kα1 and Kα2), from a PBE-relaxed structure.

Principal peaks in the range 2θ from 5° to 70°, in order of rising 2θ:
- 3.452 Å, I = 20
- 3.069 Å, I = 100
- 2.263 Å, I = 37
- 2.088 Å, I = 36
- 1.726 Å, I = 19
- 1.419 Å, I = 14

Crystal structure
Cell lengths 8.3500, 8.3500, 23.2177 Å; angles 90.00, 90.00, 120.00 degrees
Space group R-3m (No. 166, hexagonal axes)
Asymmetric unit:
Er: 0.0000 0.5000 0.0000 x9
Tl: 0.0000 0.0000 0.5000 x3
Tl: 0.0000 0.5000 0.5000 x9
Sb: 0.0000 0.0000 0.0000 x3
Se: 0.0000 0.0000 0.2660 x6
Se: 0.0032 0.5016 0.2655 x18

=====

Theoretical X-ray diffraction stick pattern of PmPuTlGe for Cu Kα (weighted mean of Kα1 and Kα2), from a PBE-relaxed structure.

Principal peaks in the range 2θ from 5° to 70°, in order of rising 2θ:
- 4.327 Å, I = 12
- 3.747 Å, I = 3
- 2.650 Å, I = 100
- 2.260 Å, I = 7
- 1.874 Å, I = 18
- 1.530 Å, I = 38

Crystal structure
Cell lengths 7.494, 7.494, 7.494 Å; angles 90.00, 90.00, 90.00 degrees
Space group F-43m (No. 216)
Asymmetric unit:
Pm: 0.000 0.000 0.000 x4
Pu: 0.000 0.000 0.500 x4
Tl: 0.250 0.250 0.250 x4
Ge: 0.250 0.250 0.750 x4

=====

Theoretical X-ray diffraction stick pattern of Ho2ErIn2Ag2 for Cu Kα (weighted mean of Kα1 and Kα2), from a PBE-relaxed structure.

Principal peaks in the range 2θ from 5° to 70°, in order of rising 2θ:
- 4.126 Å, I = 18
- 2.808 Å, I = 47
- 2.598 Å, I = 91
- 2.411 Å, I = 100
- 1.768 Å, I = 38
- 1.426 Å, I = 55

Crystal structure
Cell lengths 4.8229, 4.8229, 26.5496 Å; angles 90.00, 90.00, 120.00 degrees
Space group R-3m (No. 166, hexagonal axes)
Asymmetric unit:
Ho: 0.0000 0.0000 0.1261 x6
Er: 0.0000 0.0000 0.0000 x3
In: 0.0000 0.0000 0.2600 x6
Ag: 0.0000 0.0000 0.3953 x6

=====

Theoretical X-ray diffraction stick pattern of Nd4SmMg2 for Cu Kα (weighted mean of Kα1 and Kα2), from a PBE-relaxed structure.

Principal peaks in the range 2θ from 5° to 70°, in order of rising 2θ:
- 9.010 Å, I = 72
- 3.634 Å, I = 37
- 2.834 Å, I = 100
- 2.783 Å, I = 89
- 1.986 Å, I = 34
- 1.626 Å, I = 36

Crystal structure
Cell lengths 5.6679, 5.6679, 27.0309 Å; angles 90.00, 90.00, 120.00 degrees
Space group R-3m (No. 166, hexagonal axes)
Asymmetric unit:
Nd: 0.0000 0.0000 0.1295 x6
Nd: 0.0000 0.0000 0.2569 x6
Sm: 0.0000 0.0000 0.5000 x3
Mg: 0.0000 0.0000 0.3781 x6

=====

Theoretical X-ray diffraction stick pattern of Pm3PaSb4 for Cu Kα (weighted mean of Kα1 and Kα2), from a PBE-relaxed structure.

Principal peaks in the range 2θ from 5° to 70°, in order of rising 2θ:
- 3.152 Å, I = 100
- 2.230 Å, I = 64
- 1.822 Å, I = 14
- 1.818 Å, I = 14
- 1.576 Å, I = 13
- 1.409 Å, I = 29

Crystal structure
Cell lengths 8.933, 12.599, 4.454 Å; angles 90.00, 90.00, 90.00 degrees
Space group Cmmm (No. 65)
Asymmetric unit:
Pm: 0.000 0.000 0.000 x2
Pm: 0.250 0.250 0.500 x4
Pa: 0.000 0.500 0.000 x2
Sb: 0.000 0.254 0.000 x4
Sb: 0.244 0.500 0.500 x4

=====

Theoretical X-ray diffraction stick pattern of Ag2PPt for Cu Kα (weighted mean of Kα1 and Kα2), from a PBE-relaxed structure.

Principal peaks in the range 2θ from 5° to 70°, in order of rising 2θ:
- 4.563 Å, I = 17
- 3.145 Å, I = 16
- 2.523 Å, I = 26
- 2.317 Å, I = 100
- 2.256 Å, I = 32
- 1.604 Å, I = 22

Crystal structure
Cell lengths 3.350, 4.513, 9.126 Å; angles 90.00, 90.00, 90.00 degrees
Space group Imm2 (No. 44)
Asymmetric unit:
Ag: 0.000 0.000 0.000 x2
Ag: 0.000 0.500 0.206 x2
P: 0.000 0.500 0.763 x2
Pt: 0.000 0.000 0.435 x2